(1)
This entry pairs a crystal structure of LaHo7Er5 with its theoretical powder diffractogram. Radiation: Cu Kα (weighted mean of Kα1 and Kα2). Structure: DFT lattice parameters and positions (GGA-PBE).

Principal peaks in the range 5 to 70 degrees two-theta, in order of rising 2θ:
| d_spacing | 2θ/deg | I (rel.) | h k l |
| --- | --- | --- | --- |
| 3.320 | 26.86 | 23 | 2 0 0 |
| 3.235 | 27.57 | 28 | 1 3 0 |
| 2.877 | 31.09 | 100 | 0 0 4 |
| 2.850 | 31.39 | 55 | 2 2 0 |
| 2.820 | 31.73 | 76 | 1 3 2 |
| 2.779 | 32.21 | 20 | 0 4 0 |
| 2.554 | 35.14 | 84 | 2 2 2 |
| 2.503 | 35.88 | 30 | 0 4 2 |
| 2.025 | 44.76 | 19 | 2 2 4 |
| 1.618 | 56.92 | 27 | 2 6 0 |
| 1.591 | 57.95 | 31 | 2 2 6 |
| 1.410 | 66.29 | 27 | 2 6 4 |

Structure:
a b c (Å): 6.6372 11.1166 11.5109
angles (deg): 90.00 90.00 90.00
Space group Imm2 (No. 44)
Asymmetric unit:
La 0.0000 0.0000 0.0000 (multiplicity 2)
Ho 0.0000 0.0000 0.2992 (multiplicity 2)
Ho 0.0000 0.0000 0.6073 (multiplicity 2)
Ho 0.0000 0.3294 0.0499 (multiplicity 4)
Ho 0.0000 0.3303 0.5514 (multiplicity 4)
Ho 0.0000 0.5000 0.2945 (multiplicity 2)
Er 0.0000 0.5000 0.8033 (multiplicity 2)
Er 0.2364 0.2315 0.7991 (multiplicity 8)

***

(2)
This entry pairs a crystal structure of La6Ho2Er5 with its theoretical powder diffractogram. Radiation: Cu Kα (weighted mean of Kα1 and Kα2). Structure: DFT lattice parameters and positions (GGA-PBE).

Principal peaks in the range 5 to 70 degrees two-theta, in order of rising 2θ:
| d_spacing | 2θ/deg | I (rel.) | h k l |
| --- | --- | --- | --- |
| 3.329 | 26.78 | 12 | 1 6 0 |
| 2.909 | 30.74 | 43 | 4 1 0 |
| 2.886 | 30.99 | 100 | 1 7 0 |
| 2.853 | 31.35 | 16 | 3 5 0 |
| 2.824 | 31.69 | 96 | 2 3 1 |
| 2.657 | 33.74 | 31 | 2 4 1 |
| 2.598 | 34.53 | 13 | 3 6 0 |
| 2.486 | 36.14 | 32 | 3 3 1 |
| 1.817 | 50.22 | 18 | 0 0 2 |
| 1.785 | 51.17 | 17 | 1 10 1 |
| 1.541 | 60.04 | 13 | 4 1 2 |
| 1.537 | 60.20 | 16 | 1 7 2 |

Structure:
a b c (Å): 11.7501 20.8244 3.6337
angles (deg): 90.00 90.00 90.00
Space group Pbam (No. 55)
Asymmetric unit:
La 0.0590 0.0803 0.0000 (multiplicity 4)
La 0.0824 0.3669 0.0000 (multiplicity 4)
La 0.1723 0.6350 0.5000 (multiplicity 4)
Ho 0.1632 0.7909 0.0000 (multiplicity 4)
Er 0.0000 0.5000 0.5000 (multiplicity 2)
Er 0.0951 0.2270 0.5000 (multiplicity 4)
Er 0.1999 0.9426 0.5000 (multiplicity 4)

***

(3)
This entry pairs a crystal structure of La6HoEr12 with its theoretical powder diffractogram. Radiation: Cu Kα (weighted mean of Kα1 and Kα2). Structure: DFT lattice parameters and positions (GGA-PBE).

Principal peaks in the range 5 to 70 degrees two-theta, in order of rising 2θ:
| d_spacing | 2θ/deg | I (rel.) | h k l |
| --- | --- | --- | --- |
| 3.564 | 24.98 | 16 | 1 1 3 |
| 3.098 | 28.82 | 27 | 1 3 1 |
| 3.053 | 29.25 | 51 | 1 0 4 |
| 2.852 | 31.36 | 57 | 3 1 2 |
| 2.841 | 31.49 | 62 | 0 3 3 |
| 2.808 | 31.87 | 100 | 4 0 1 |
| 2.621 | 34.20 | 44 | 0 4 2 |
| 2.612 | 34.33 | 24 | 2 2 3 |
| 2.587 | 34.67 | 22 | 3 2 1 |
| 1.850 | 49.26 | 21 | 3 0 6 |
| 1.663 | 55.25 | 26 | 4 4 0 |
| 1.625 | 56.63 | 28 | 4 3 4 |

Structure:
a b c (Å): 13.3014 13.3014 12.6650
angles (deg): 90.00 90.00 120.00
Space group R-3m (No. 166, hexagonal axes)
Asymmetric unit:
La 0.0390 0.5195 0.1152 (multiplicity 18)
Ho 0.0000 0.0000 0.5000 (multiplicity 3)
Er 0.0000 0.2539 0.0000 (multiplicity 18)
Er 0.0915 0.1831 0.7630 (multiplicity 18)

***

(4)
This entry pairs a crystal structure of La7HoEr2 with its theoretical powder diffractogram. Radiation: Cu Kα (weighted mean of Kα1 and Kα2). Structure: DFT lattice parameters and positions (GGA-PBE).

Principal peaks in the range 5 to 70 degrees two-theta, in order of rising 2θ:
| d_spacing | 2θ/deg | I (rel.) | h k l |
| --- | --- | --- | --- |
| 5.800 | 15.28 | 54 | 0 0 1 |
| 4.663 | 19.03 | 25 | 1 1 1 |
| 4.462 | 19.90 | 27 | 2 0 0 |
| 3.349 | 26.61 | 37 | 0 4 1 |
| 3.020 | 29.58 | 71 | 2 4 0 |
| 2.900 | 30.83 | 63 | 0 0 2 |
| 2.721 | 32.92 | 100 | 1 5 1 |
| 2.613 | 34.31 | 70 | 3 1 1 |
| 2.092 | 43.25 | 50 | 2 4 2 |
| 1.638 | 56.17 | 21 | 1 5 3 |
| 1.514 | 61.23 | 26 | 5 5 1 |
| 1.502 | 61.78 | 26 | 3 9 1 |

Structure:
a b c (Å): 8.9250 16.4103 5.8002
angles (deg): 90.00 90.00 90.00
Space group Cmmm (No. 65)
Asymmetric unit:
La 0.0000 0.0000 0.0000 (multiplicity 2)
La 0.0000 0.2689 0.5000 (multiplicity 4)
La 0.1811 0.3864 0.0000 (multiplicity 8)
Ho 0.0000 0.5000 0.5000 (multiplicity 2)
Er 0.0000 0.2057 0.0000 (multiplicity 4)

***

(5)
This entry pairs a crystal structure of LaHo5Er with its theoretical powder diffractogram. Radiation: Cu Kα (weighted mean of Kα1 and Kα2). Structure: DFT lattice parameters and positions (GGA-PBE).

Principal peaks in the range 5 to 70 degrees two-theta, in order of rising 2θ:
| d_spacing | 2θ/deg | I (rel.) | h k l |
| --- | --- | --- | --- |
| 3.618 | 24.60 | 16 | 0 3 1 |
| 3.250 | 27.45 | 13 | 2 1 1 |
| 2.861 | 31.27 | 53 | 0 0 4 |
| 2.697 | 33.22 | 15 | 0 3 3 |
| 2.668 | 33.59 | 100 | 2 2 2 |
| 2.023 | 44.81 | 15 | 0 4 4 |
| 1.897 | 47.97 | 18 | 2 5 1 |
| 1.774 | 51.51 | 9 | 4 0 0 |
| 1.612 | 57.15 | 26 | 2 2 6 |
| 1.508 | 61.50 | 15 | 4 0 4 |
| 1.502 | 61.74 | 7 | 0 3 7 |
| 1.472 | 63.15 | 9 | 2 5 5 |

Structure:
a b c (Å): 7.0972 11.4353 11.4487
angles (deg): 90.00 90.00 90.00
Space group Imma (No. 74)
Asymmetric unit:
La 0.2500 0.2500 0.2500 (multiplicity 4)
Ho 0.0000 0.0390 0.7502 (multiplicity 8)
Ho 0.0000 0.2500 0.5379 (multiplicity 4)
Ho 0.2501 0.0000 0.0000 (multiplicity 8)
Er 0.0000 0.2500 0.9626 (multiplicity 4)

***

(6)
This entry pairs a crystal structure of LaHoEr5 with its theoretical powder diffractogram. Radiation: Cu Kα (weighted mean of Kα1 and Kα2). Structure: DFT lattice parameters and positions (GGA-PBE).

Principal peaks in the range 5 to 70 degrees two-theta, in order of rising 2θ:
| d_spacing | 2θ/deg | I (rel.) | h k l |
| --- | --- | --- | --- |
| 3.611 | 24.65 | 15 | 0 1 3 |
| 3.238 | 27.55 | 13 | 2 1 1 |
| 2.855 | 31.33 | 53 | 0 4 0 |
| 2.692 | 33.29 | 15 | 0 3 3 |
| 2.659 | 33.70 | 100 | 2 2 2 |
| 2.019 | 44.90 | 15 | 0 4 4 |
| 1.892 | 48.10 | 18 | 2 1 5 |
| 1.767 | 51.73 | 9 | 4 0 0 |
| 1.608 | 57.30 | 25 | 2 6 2 |
| 1.503 | 61.73 | 15 | 4 4 0 |
| 1.499 | 61.88 | 7 | 0 7 3 |
| 1.469 | 63.31 | 9 | 2 5 5 |

Structure:
a b c (Å): 7.0688 11.4271 11.4120
angles (deg): 90.00 90.00 90.00
Space group Imma (No. 74)
Asymmetric unit:
La 0.2500 0.2500 0.2500 (multiplicity 4)
Ho 0.0000 0.2500 0.5394 (multiplicity 4)
Er 0.0000 0.0377 0.7502 (multiplicity 8)
Er 0.0000 0.2500 0.9610 (multiplicity 4)
Er 0.2501 0.0000 0.0000 (multiplicity 8)